LaCe3Os: computed powder XRD pattern (copper Kα), based on DFT lattice parameters and positions (GGA-PBE).

Main lines, low angle first (10 to 90 degrees two-theta):
two_theta  I_rel  (hkl)
30.55  728  1 2 0
31.50  1000  2 0 -1
33.12  676  1 2 -1
34.32  847  1 1 2
38.33  465  0 2 2
42.74  317  1 0 -3

Atomic structure:
a = 6.1244 Å, b = 6.6665 Å, c = 6.6298 Å
α = 90.00°, β = 93.40°, γ = 90.00°
Space group P2_1/m (No. 11)
Symmetry-distinct sites (fractional):
La 0.1216 0.2500 0.3800 [2 per cell]
Ce 0.0737 0.7500 0.1025 [2 per cell]
Ce 0.4265 0.0058 0.7931 [4 per cell]
Os 0.3100 0.7500 0.4515 [2 per cell]